Starting from the GGA-PBE geometry in Alexandria, the X-ray powder pattern of La4GeSe2S was simulated for CuKα.
Lines closer than 0.1° are merged.

The 10 most intense peaks (15 to 90 degrees two-theta), by angle:
hkl	2θ (°)	d_spacing	I (rel.)
2 0 2	25.27	3.525	219
2 2 0	29.26	3.052	1000
0 4 0	41.73	2.164	125
4 0 0	41.88	2.157	620
0 4 4	51.79	1.765	131
4 0 4	51.97	1.759	131
4 4 0	60.68	1.526	121
4 4 4	68.78	1.365	220
2 6 4	76.27	1.248	81
6 2 4	76.56	1.244	122

Structure:
Cell: 8.6141 8.6572 12.2041 Å, 90.00 90.00 90.00°
Space group Imma (No. 74)
Inequivalent atoms, fractional coordinates:
La 0.0000 0.0079 0.2462 [8 per cell]
La 0.2443 0.2500 0.0035 [8 per cell]
Ge 0.0000 0.0000 0.0000 [4 per cell]
Se 0.0000 0.0000 0.5000 [4 per cell]
Se 0.2500 0.2500 0.7500 [4 per cell]
S 0.2500 0.2500 0.2500 [4 per cell]